Ca2V3O8: theoretical PXRD pattern (Cu Kα X-rays), based on a crystal structure in the Materials Project, relaxed with GGA+U.
Neutral-atom scattering factors, no anomalous dispersion.

Principal peaks in the range 15° ≤ 2θ ≤ 90°, by angle:
2θ/deg  I/Imax  index
16.7  100  0 0 2
23.9  68  1 0 2
30.5  61  1 0 3
34.1  79  1 1 2
35.3  59  2 0 1
43.0  35  2 0 3
48.9  31  2 0 4
53.0  34  2 1 3
55.8  70  2 0 5
61.4  48  2 2 0

Structure:
```
26
Lattice="6.044 0.000 0.000 -3.022 5.234 0.000 0.000 0.000 10.610" Properties=species:S:1:pos:R:3 pbc="T T T"
Ca 0.000 3.489 0.000
Ca 0.000 3.489 4.303
Ca 3.022 1.745 5.305
Ca 3.022 1.745 9.608
V 0.000 1.711 7.638
V -1.540 4.379 7.638
V 1.482 0.856 2.333
V 1.540 4.379 7.638
V 4.562 0.856 2.333
V 3.022 3.523 2.333
O 0.000 0.000 3.376
O 0.000 0.000 8.681
O -1.299 2.740 8.735
O 0.000 1.608 1.358
O -1.630 4.430 1.358
O 1.392 0.804 6.662
O 0.000 3.489 6.570
O 1.299 2.740 8.735
O 0.000 4.989 8.735
O 3.022 0.245 3.430
O 1.723 2.495 3.430
O 3.022 1.745 1.266
O 1.630 4.430 1.358
O 4.652 0.804 6.662
O 3.022 3.626 6.662
O 4.321 2.495 3.430
```